Structure and simulated powder diffractogram of Li4Co2P3O12 (a DFT-relaxed cell (GGA+U, Alexandria); λ = 1.5418 Å (Cu Kα)).

Structural model:
```
data_Li4Co2P3O12
_chemical_formula_sum 'Li8 Co4 P6 O24'
_cell_length_a 8.331
_cell_length_b 8.362
_cell_length_c 9.050
_cell_angle_alpha 90.89
_cell_angle_beta 116.61
_cell_angle_gamma 118.89
_space_group_name_H-M_alt 'P -1'
_space_group_IT_number 2
loop_
_space_group_symop_operation_xyz
'x,y,z'
'-x,-y,-z'
loop_
_atom_site_label
_atom_site_fract_x
_atom_site_fract_y
_atom_site_fract_z
Li1 0.031 0.218 0.102
Li2 0.194 0.415 0.855
Li3 0.206 0.235 0.421
Li4 0.407 0.828 0.142
Co1 0.293 0.651 0.443
Co2 0.314 0.153 0.959
P1 0.207 0.961 0.258
P2 0.209 0.753 0.751
P3 0.479 0.532 0.241
O1 0.026 0.352 0.289
O2 0.031 0.007 0.205
O3 0.122 0.757 0.279
O4 0.206 0.687 0.588
O5 0.255 0.958 0.109
O6 0.292 0.342 0.091
O7 0.309 0.969 0.799
O8 0.338 0.697 0.903
O9 0.356 0.338 0.806
O10 0.370 0.631 0.266
O11 0.401 0.117 0.428
O12 0.403 0.499 0.585
```

Principal peaks in the range 15 to 90 degrees two-theta, in order of rising 2θ:
- hkl 1 -1 1, 19.51 deg, d = 4.549 Å, I = 1000
- hkl 1 0 -2, 19.76 deg, d = 4.494 Å, I = 656
- hkl 1 1 0, 23.77 deg, d = 3.743 Å, I = 391
- hkl 1 -2 1, 24.11 deg, d = 3.692 Å, I = 966
- hkl 2 0 0, 28.66 deg, d = 3.115 Å, I = 421
- hkl 0 2 -2, 28.92 deg, d = 3.087 Å, I = 371
- hkl 1 1 1, 31.07 deg, d = 2.878 Å, I = 389
- hkl 1 -2 2, 31.45 deg, d = 2.845 Å, I = 396
- hkl -1 2 2, 31.59 deg, d = 2.832 Å, I = 423
- hkl -2 1 3, 31.91 deg, d = 2.805 Å, I = 366